For Zr4Cu5Si6, the GGA-PBE geometry in Alexandria gives the theoretical X-ray powder pattern in this record (Cu Kα, 1.54184 Å).
Kinematic intensities with the Lorentz-polarization factor, no thermal factor.

Cell lengths 3.910, 17.457, 14.101 Å; angles 90.00, 90.00, 90.00 degrees
Space group Cmc2_1 (No. 36)
Unique sites:
Zr  0.000  0.018  0.000
Zr  0.000  0.033  0.264
Zr  0.000  0.167  0.805
Zr  0.000  0.179  0.441
Cu  0.000  0.150  0.125
Cu  0.000  0.303  0.120
Cu  0.000  0.344  0.775
Cu  0.000  0.353  0.479
Cu  0.000  0.438  0.183
Si  0.000  0.112  0.616
Si  0.000  0.221  0.988
Si  0.000  0.227  0.259
Si  0.000  0.430  0.630
Si  0.000  0.430  0.908
Si  0.000  0.442  0.353

Largest 6 diffraction maxima, in order of falling intensity, 15° ≤ 2θ ≤ 90°:
2θ = 39.56°, rel. 100
2θ = 30.17°, rel. 73
2θ = 46.45°, rel. 53
2θ = 37.67°, rel. 37
2θ = 35.04°, rel. 36
2θ = 38.30°, rel. 25